Theoretical PXRD pattern
Compound: MgInCoO
Radiation: Cu Kα (weighted mean of Kα1 and Kα2)
Structure: DFT lattice parameters and positions (GGA+U)
Kinematic intensities with the Lorentz-polarization factor, no thermal factor.

Peak list (10 most intense, 2θ from 10° to 90°, by angle)
d 7.457, intensity 82, hkl 0 0 2; d 3.729, intensity 19, hkl 0 0 4; d 2.857, intensity 30, hkl 1 0 1; d 2.512, intensity 100, hkl 1 0 3; d 2.486, intensity 16, hkl 0 0 6; d 2.083, intensity 46, hkl 1 0 5; d 2.059, intensity 43, hkl 1 1 0; d 1.586, intensity 15, hkl 1 1 6; d 1.382, intensity 17, hkl 1 1 8; d 1.260, intensity 21, hkl 2 1 3

Cell and atoms:
a b c (Å): 2.9114 2.9114 14.9142
angles (deg): 90.00 90.00 90.00
Atoms (fractional coordinates):
1 Mg 0.0000 0.0000 0.0000
2 Mg 0.5000 0.5000 0.5000
3 In 0.0000 0.0000 0.2768
4 In 0.5000 0.5000 0.7768
5 Co 0.0000 0.0000 0.6477
6 Co 0.5000 0.5000 0.1477
7 O 0.0000 0.0000 0.5013
8 O 0.5000 0.5000 0.0013